(1)
The following is a theoretical XRD peak list of Sr2LaTi2Nb3O15. It was derived from a DFT-relaxed cell (GGA-PBE, Alexandria), using Cu Kα (λ = 1.5418 Å).

Principal peaks in the range 2θ from 15° to 90°, sorted by position:
h k l	Position (°2θ)	d_spacing	I/Imax
1 2 0	15.8	5.609	28
2 3 0	25.6	3.482	35
1 2 1	27.6	3.235	52
4 1 0	29.5	3.029	28
2 4 0	31.9	2.808	100
3 1 1	32.0	2.797	74
3 2 1	34.3	2.611	22
0 0 2	45.8	1.980	38
6 2 0	45.9	1.976	22
5 5 1	56.9	1.618	46

Structure:
a b c (Å): 12.484 12.589 3.961
angles (deg): 90.00 90.00 90.00
Space group Pbam (No. 55)
Symmetry-distinct sites (fractional):
Sr (0.206, 0.122, 0.000) [4 per cell]
La (0.000, 0.500, 0.000) [2 per cell]
Ti (0.208, 0.415, 0.500) [4 per cell]
Nb (0.000, 0.000, 0.500) [2 per cell]
Nb (0.078, 0.716, 0.500) [4 per cell]
O (0.000, 0.000, 0.000) [2 per cell]
O (0.015, 0.160, 0.500) [4 per cell]
O (0.056, 0.378, 0.500) [4 per cell]
O (0.083, 0.699, 0.000) [4 per cell]
O (0.147, 0.570, 0.500) [4 per cell]
O (0.159, 0.996, 0.500) [4 per cell]
O (0.196, 0.431, 0.000) [4 per cell]
O (0.227, 0.776, 0.500) [4 per cell]

---

(2)
The following is a theoretical XRD peak list of La3Pr3Y. It was derived from a DFT-relaxed cell (GGA-PBE, Alexandria), using Cu Kα (λ = 1.5418 Å).

Principal peaks in the range 2θ from 15° to 90°, sorted by position:
h k l	Position (°2θ)	d_spacing	I/Imax
2 1 0	27.4	3.254	23
0 0 2	29.9	2.987	25
2 1 1	31.3	2.858	100
2 1 2	41.0	2.201	16
1 4 0	48.5	1.879	20
2 1 3	54.0	1.699	21
1 4 2	58.0	1.590	23
4 2 1	58.8	1.570	16
7 0 1	79.6	1.205	14
1 4 4	82.5	1.169	8

Structure:
a b c (Å): 9.9416 9.9416 5.9746
angles (deg): 90.00 90.00 120.00
Space group P6_3/m (No. 176)
Symmetry-distinct sites (fractional):
La (0.0963, 0.4764, 0.2500) [6 per cell]
Pr (0.0456, 0.2384, 0.7500) [6 per cell]
Y (0.3333, 0.6667, 0.7500) [2 per cell]

---

(3)
The following is a theoretical XRD peak list of Pr4O. It was derived from a DFT-relaxed cell (GGA-PBE, Alexandria), using Cu Kα (λ = 1.5418 Å).

Principal peaks in the range 2θ from 15° to 90°, sorted by position:
h k l	Position (°2θ)	d_spacing	I/Imax
1 1 2	28.2	3.163	100
4 0 0	32.5	2.759	16
0 2 0	32.8	2.729	32
4 2 0	46.8	1.940	13
2 2 -4	47.1	1.930	13
7 1 -2	55.3	1.662	7
5 1 2	55.4	1.658	7
3 3 -2	55.8	1.649	15
1 1 -6	55.8	1.646	15
4 2 -8	78.3	1.221	7

Structure:
a b c (Å): 12.334 5.459 10.919
angles (deg): 90.00 116.53 90.00
Space group C2/c (No. 15)
Symmetry-distinct sites (fractional):
Pr (0.119, 0.002, 0.186) [8 per cell]
Pr (0.119, 0.496, 0.933) [8 per cell]
O (0.000, 0.246, 0.750) [4 per cell]

---

(4)
The following is a theoretical XRD peak list of CaAu6. It was derived from a DFT-relaxed cell (GGA-PBE, Alexandria), using Cu Kα (λ = 1.5418 Å).

Principal peaks in the range 2θ from 15° to 90°, sorted by position:
h k l	Position (°2θ)	d_spacing	I/Imax
1 1 1	20.2	4.399	63
1 0 4	33.4	2.683	50
3 1 1	34.4	2.609	65
2 1 3	34.8	2.575	34
3 0 3	38.0	2.367	41
2 2 1	38.5	2.338	53
4 0 1	40.1	2.247	61
2 1 4	41.0	2.200	85
1 2 3	41.4	2.179	100
3 2 2	46.9	1.938	32

Structure:
a b c (Å): 9.172 5.603 11.224
angles (deg): 90.00 90.00 90.00
Space group Pnma (No. 62)
Symmetry-distinct sites (fractional):
Ca (0.236, 0.250, 0.067) [4 per cell]
Au (0.054, 0.007, 0.309) [8 per cell]
Au (0.064, 0.750, 0.081) [4 per cell]
Au (0.122, 0.250, 0.523) [4 per cell]
Au (0.155, 0.750, 0.846) [4 per cell]
Au (0.190, 0.250, 0.774) [4 per cell]